Diffraction record for LiTiO4F3. The powder diffractogram is computed, not measured: it uses a structure optimized by DFT (GGA-PBE) and Cu Kα.
Neutral-atom scattering factors, no anomalous dispersion.

Cell lengths 8.829, 8.318, 7.128 Å; angles 90.00, 90.00, 90.00 degrees
Space group Cmcm (No. 63)
Unique sites:
Li 0.000 0.178 0.250
Ti 0.000 0.274 0.750
O 0.165 0.443 0.750
O 0.232 0.299 0.750
F 0.000 0.047 0.750
F 0.000 0.281 0.013

Top 6 peaks for 5° ≤ 2θ ≤ 70°, by angle:
2theta, intensity
19.24, 100
20.12, 29
21.36, 33
24.79, 21
24.99, 45
40.84, 34

---

Diffraction record for Ba8NaPd4. The powder diffractogram is computed, not measured: it uses a structure optimized by DFT (GGA-PBE) and Cu Kα.
Neutral-atom scattering factors, no anomalous dispersion.

Cell lengths 22.401, 4.661, 15.227 Å; angles 90.00, 130.69, 90.00 degrees
Space group Cm (No. 8)
Unique sites:
Ba 0.000 0.000 0.000
Ba 0.033 0.000 0.748
Ba 0.076 0.000 0.484
Ba 0.162 0.500 0.337
Ba 0.205 0.500 0.074
Ba 0.238 0.500 0.822
Ba 0.329 0.000 0.667
Ba 0.410 0.000 0.155
Na 0.369 0.000 0.411
Pd 0.017 0.500 0.874
Pd 0.034 0.000 0.239
Pd 0.204 0.500 0.583
Pd 0.222 0.000 0.947

Top 6 peaks for 5° ≤ 2θ ≤ 70°, by angle:
2theta, intensity
11.63, 56
24.74, 100
25.30, 51
25.96, 87
30.94, 45
39.92, 81

---

Diffraction record for USi2Au6. The powder diffractogram is computed, not measured: it uses a structure optimized by DFT (GGA-PBE) and Cu Kα.
Neutral-atom scattering factors, no anomalous dispersion.

Cell lengths 4.171, 4.171, 9.467 Å; angles 90.00, 90.00, 90.00 degrees
Space group P4/mmm (No. 123)
Unique sites:
U 0.000 0.000 0.000
Si 0.500 0.500 0.120
Au 0.000 0.000 0.500
Au 0.000 0.500 0.272
Au 0.500 0.500 0.500

Top 6 peaks for 5° ≤ 2θ ≤ 70°, by angle:
2theta, intensity
9.34, 15
35.87, 100
38.02, 17
43.39, 33
59.04, 19
63.03, 12

---

Diffraction record for Tb2CeSmY. The powder diffractogram is computed, not measured: it uses a structure optimized by DFT (GGA-PBE) and Cu Kα.
Neutral-atom scattering factors, no anomalous dispersion.

Cell lengths 5.933, 7.892, 7.045 Å; angles 90.00, 90.00, 90.00 degrees
Space group Pmma (No. 51)
Unique sites:
Tb 0.250 0.205 0.186
Ce 0.000 0.500 0.500
Sm 0.250 0.000 0.663
Y 0.250 0.500 0.897

Top 6 peaks for 5° ≤ 2θ ≤ 70°, by angle:
2theta, intensity
25.88, 25
27.73, 29
30.01, 100
31.64, 39
34.11, 25
55.04, 25